Rb2ZnF4: theoretical powder diffraction line list (Cu Kα (λ = 1.5418 Å)), based on a GGA-PBE-relaxed structure.
Lines closer than 0.1° are merged.

Cell: 4.221 4.221 13.851 Å, 90.00 90.00 90.00°
Space group I4/mmm (No. 139)
Asymmetric unit:
Rb: 0.000 0.000 0.145
Zn: 0.000 0.000 0.500
F: 0.000 0.000 0.353
F: 0.000 0.500 0.000

Most intense lines, 2θ from 10° to 90°, low angle first:
(hkl)	2theta	d_spacing	Rel. int.
1 0 3	28.7	3.115	100
1 1 0	29.9	2.985	72
0 0 6	39.0	2.309	19
1 1 4	39.9	2.261	25
2 0 0	42.8	2.111	45
1 1 6	49.9	1.826	18
2 1 3	52.4	1.747	38
2 0 6	59.3	1.558	26

Te2MoWS2: theoretical powder diffraction line list (Cu Kα (λ = 1.5418 Å)), based on a GGA-PBE-relaxed structure.
Lines closer than 0.1° are merged.

Cell: 3.3598 3.3598 40.1377 Å, 90.00 90.00 120.00°
Space group P3m1 (No. 156)
Asymmetric unit:
Te: 0.0000 0.0000 0.0000
Te: 0.0000 0.0000 0.0941
Te: 0.6667 0.3333 0.1910
Te: 0.6667 0.3333 0.2857
Mo: 0.6667 0.3333 0.0471
Mo: 0.6667 0.3333 0.6729
W: 0.0000 0.0000 0.2383
W: 0.0000 0.0000 0.8606
S: 0.0000 0.0000 0.6352
S: 0.0000 0.0000 0.7106
S: 0.6667 0.3333 0.8228
S: 0.6667 0.3333 0.8984

Most intense lines, 2θ from 10° to 90°, low angle first:
(hkl)	2theta	d_spacing	Rel. int.
0 0 5	11.0	8.028	100
0 0 6	13.2	6.690	17
1 0 0	30.8	2.907	42
1 0 5	32.7	2.736	14
0 1 8	35.7	2.517	69
0 1 13	42.7	2.118	46
1 1 0	54.6	1.680	27
2 0 8	67.0	1.397	14

Sb6O13: theoretical powder diffraction line list (Cu Kα (λ = 1.5418 Å)), based on a GGA-PBE-relaxed structure.
Lines closer than 0.1° are merged.

Cell: 7.317 7.333 10.526 Å, 90.00 90.00 90.00°
Space group Imm2 (No. 44)
Asymmetric unit:
Sb: 0.000 0.249 0.000
Sb: 0.237 0.500 0.250
Sb: 0.250 0.000 0.251
O: 0.000 0.000 0.320
O: 0.000 0.000 0.931
O: 0.000 0.500 0.071
O: 0.000 0.500 0.338
O: 0.000 0.500 0.684
O: 0.193 0.212 0.132
O: 0.196 0.288 0.871

Most intense lines, 2θ from 10° to 90°, low angle first:
(hkl)	2theta	d_spacing	Rel. int.
1 0 1	14.7	6.008	43
0 0 2	16.8	5.263	13
1 2 1	28.5	3.130	15
0 2 2	29.7	3.006	100
2 2 0	34.6	2.590	19
2 2 4	49.4	1.846	31
0 2 6	58.3	1.582	15
2 4 2	59.1	1.564	27

Ba3As2: theoretical powder diffraction line list (Cu Kα (λ = 1.5418 Å)), based on a GGA-PBE-relaxed structure.
Lines closer than 0.1° are merged.

Cell: 6.184 6.184 6.184 Å, 90.00 90.00 90.00°
Space group Pm-3m (No. 221)
Asymmetric unit:
Ba: 0.000 0.000 0.500
As: 0.000 0.000 0.000
As: 0.500 0.500 0.500

Most intense lines, 2θ from 10° to 90°, low angle first:
(hkl)	2theta	d_spacing	Rel. int.
1 0 0	14.3	6.184	30
1 1 1	24.9	3.570	99
2 0 0	28.9	3.092	100
2 2 0	41.3	2.186	75
3 1 1	48.8	1.865	47
2 2 2	51.2	1.785	27
4 2 0	67.8	1.383	35
4 2 2	75.3	1.262	26

Tb2Fe4Si9: theoretical powder diffraction line list (Cu Kα (λ = 1.5418 Å)), based on a GGA-PBE-relaxed structure.
Lines closer than 0.1° are merged.

Cell: 3.9488 3.9488 16.0838 Å, 90.00 90.00 120.00°
Space group P-3m1 (No. 164)
Asymmetric unit:
Tb: 0.3333 0.6667 0.2416
Fe: 0.3333 0.6667 0.5884
Fe: 0.3333 0.6667 0.8984
Si: 0.0000 0.0000 0.1265
Si: 0.0000 0.0000 0.3511
Si: 0.0000 0.0000 0.5000
Si: 0.3333 0.6667 0.0431
Si: 0.3333 0.6667 0.4348

Most intense lines, 2θ from 10° to 90°, low angle first:
(hkl)	2theta	d_spacing	Rel. int.
1 0 0	26.1	3.420	19
1 0 1	26.6	3.345	36
1 0 3	31.0	2.883	100
0 0 6	33.4	2.681	21
1 0 5	38.4	2.343	45
0 1 6	42.9	2.110	40
1 1 0	46.0	1.974	72
1 1 6	58.0	1.590	25

What is the formula in the first record? Rb2ZnF4